Entry 1:
Structure and calculated X-ray powder pattern of Fe5Co3 (a crystal structure in Alexandria, relaxed with GGA-PBE; a wavelength of 1.5418 Å).
Neutral-atom scattering factors, no anomalous dispersion.

Top 3 peaks for 2θ = 10–80°, in order of falling intensity:
two_theta  I_rel
45.1  100
65.7  10
65.4  5

a b c (Å): 4.020 4.020 11.409
angles (deg): 90.00 90.00 90.00
Atoms (fractional coordinates):
Fe1 0.000 0.000 0.000
Fe2 0.000 0.000 0.250
Fe3 0.000 0.000 0.750
Fe4 0.000 0.500 0.623
Fe5 0.000 0.500 0.877
Fe6 0.500 0.000 0.123
Fe7 0.500 0.000 0.377
Fe8 0.500 0.500 0.250
Fe9 0.500 0.500 0.500
Fe10 0.500 0.500 0.750
Co1 0.000 0.000 0.500
Co2 0.000 0.500 0.126
Co3 0.000 0.500 0.374
Co4 0.500 0.000 0.626
Co5 0.500 0.000 0.874
Co6 0.500 0.500 0.000

Entry 2:
Structure and calculated X-ray powder pattern of Fe3Co (a crystal structure in Alexandria, relaxed with GGA-PBE; a wavelength of 1.5418 Å).
Neutral-atom scattering factors, no anomalous dispersion.

Top 4 peaks for 2θ = 10–80°, in order of falling intensity:
two_theta  I_rel
45.1  100
44.9  20
65.5  12
65.7  6

a b c (Å): 2.843 4.034 8.048
angles (deg): 90.00 90.00 90.00
Atoms (fractional coordinates):
Fe1 0.000 0.000 0.000
Fe2 0.000 0.500 0.252
Fe3 0.000 0.500 0.748
Fe4 0.500 0.000 0.252
Fe5 0.500 0.000 0.748
Fe6 0.500 0.500 0.000
Co1 0.000 0.000 0.500
Co2 0.500 0.500 0.500

Entry 3:
Structure and calculated X-ray powder pattern of Fe3Co2 (a crystal structure in Alexandria, relaxed with GGA-PBE; a wavelength of 1.5418 Å).
Neutral-atom scattering factors, no anomalous dispersion.

Top 5 peaks for 2θ = 10–80°, in order of falling intensity:
two_theta  I_rel
45.1  100
44.8  26
45.3  25
65.6  15
65.8  7

a b c (Å): 10.210 10.108 2.473
angles (deg): 85.38 80.65 13.97
Atoms (fractional coordinates):
Fe1 0.000 0.000 0.000
Fe2 0.199 0.199 0.801
Fe3 0.801 0.801 0.199
Co1 0.400 0.400 0.600
Co2 0.600 0.600 0.400

Entry 4:
Structure and calculated X-ray powder pattern of Fe5Co3 (a crystal structure in Alexandria, relaxed with GGA-PBE; a wavelength of 1.5418 Å).
Neutral-atom scattering factors, no anomalous dispersion.

Top 4 peaks for 2θ = 10–80°, in order of falling intensity:
two_theta  I_rel
44.9  100
45.1  49
65.8  14
65.0  7

a b c (Å): 9.057 2.840 8.082
angles (deg): 90.00 117.06 90.00
Atoms (fractional coordinates):
Fe1 0.000 0.000 0.000
Fe2 0.002 0.500 0.750
Fe3 0.249 0.500 0.626
Fe4 0.251 0.000 0.374
Fe5 0.498 0.000 0.250
Fe6 0.500 0.500 0.000
Fe7 0.502 0.000 0.750
Fe8 0.749 0.000 0.626
Fe9 0.751 0.500 0.374
Fe10 0.998 0.500 0.250
Co1 0.000 0.000 0.500
Co2 0.249 0.500 0.126
Co3 0.251 0.000 0.874
Co4 0.500 0.500 0.500
Co5 0.749 0.000 0.126
Co6 0.751 0.500 0.874

Entry 5:
Structure and calculated X-ray powder pattern of Fe5Co2 (a crystal structure in Alexandria, relaxed with GGA-PBE; a wavelength of 1.5418 Å).
Neutral-atom scattering factors, no anomalous dispersion.

Top 4 peaks for 2θ = 10–80°, in order of falling intensity:
two_theta  I_rel
45.0  100
45.2  49
65.8  14
65.2  7

a b c (Å): 2.837 2.837 20.038
angles (deg): 90.00 90.00 90.00
Atoms (fractional coordinates):
Fe1 0.000 0.000 0.000
Fe2 0.000 0.000 0.144
Fe3 0.000 0.000 0.429
Fe4 0.000 0.000 0.571
Fe5 0.000 0.000 0.856
Fe6 0.500 0.500 0.071
Fe7 0.500 0.500 0.356
Fe8 0.500 0.500 0.500
Fe9 0.500 0.500 0.644
Fe10 0.500 0.500 0.929
Co1 0.000 0.000 0.286
Co2 0.000 0.000 0.714
Co3 0.500 0.500 0.214
Co4 0.500 0.500 0.786

Entry 6:
Structure and calculated X-ray powder pattern of Fe5Co3 (a crystal structure in Alexandria, relaxed with GGA-PBE; a wavelength of 1.5418 Å).
Neutral-atom scattering factors, no anomalous dispersion.

Top 2 peaks for 2θ = 10–80°, in order of falling intensity:
two_theta  I_rel
45.0  100
65.5  15

a b c (Å): 5.699 5.699 5.699
angles (deg): 90.00 90.00 90.00
Atoms (fractional coordinates):
Fe1 0.000 0.000 0.000
Fe2 0.250 0.250 0.250
Fe3 0.250 0.250 0.750
Fe4 0.250 0.750 0.250
Fe5 0.250 0.750 0.750
Fe6 0.500 0.500 0.500
Fe7 0.750 0.250 0.250
Fe8 0.750 0.250 0.750
Fe9 0.750 0.750 0.250
Fe10 0.750 0.750 0.750
Co1 0.000 0.000 0.500
Co2 0.000 0.500 0.000
Co3 0.000 0.500 0.500
Co4 0.500 0.000 0.000
Co5 0.500 0.000 0.500
Co6 0.500 0.500 0.000

Entry 7:
Structure and calculated X-ray powder pattern of Fe5Co2 (a crystal structure in Alexandria, relaxed with GGA-PBE; a wavelength of 1.5418 Å).
Neutral-atom scattering factors, no anomalous dispersion.

Top 5 peaks for 2θ = 10–80°, in order of falling intensity:
two_theta  I_rel
45.3  100
44.7  69
44.8  35
65.6  20
65.5  10

a b c (Å): 2.497 6.171 6.173
angles (deg): 118.20 97.58 97.79
Atoms (fractional coordinates):
Fe1 0.000 0.000 0.000
Fe2 0.147 0.572 0.858
Fe3 0.429 0.716 0.571
Fe4 0.571 0.284 0.429
Fe5 0.853 0.428 0.142
Co1 0.289 0.143 0.715
Co2 0.711 0.857 0.285

Entry 8:
Structure and calculated X-ray powder pattern of FeCo (a crystal structure in Alexandria, relaxed with GGA-PBE; a wavelength of 1.5418 Å).
Neutral-atom scattering factors, no anomalous dispersion.

Top 4 peaks for 2θ = 10–80°, in order of falling intensity:
two_theta  I_rel
45.2  100
45.1  50
65.7  15
66.1  7

a b c (Å): 4.021 4.021 5.656
angles (deg): 90.00 90.00 90.00
Atoms (fractional coordinates):
Fe1 0.000 0.000 0.250
Fe2 0.000 0.000 0.750
Fe3 0.000 0.500 0.000
Fe4 0.500 0.000 0.500
Co1 0.000 0.500 0.500
Co2 0.500 0.000 0.000
Co3 0.500 0.500 0.250
Co4 0.500 0.500 0.750

Entry 9:
Structure and calculated X-ray powder pattern of Fe5Co3 (a crystal structure in Alexandria, relaxed with GGA-PBE; a wavelength of 1.5418 Å).
Neutral-atom scattering factors, no anomalous dispersion.

Top 4 peaks for 2θ = 10–80°, in order of falling intensity:
two_theta  I_rel
44.9  100
45.1  49
65.7  14
65.1  7

a b c (Å): 2.843 2.843 11.467
angles (deg): 90.00 90.00 90.00
Atoms (fractional coordinates):
Fe1 0.000 0.000 0.000
Fe2 0.000 0.000 0.249
Fe3 0.000 0.000 0.751
Fe4 0.500 0.500 0.376
Fe5 0.500 0.500 0.624
Co1 0.000 0.000 0.500
Co2 0.500 0.500 0.124
Co3 0.500 0.500 0.876

Entry 10:
Structure and calculated X-ray powder pattern of Fe2Co7 (a crystal structure in Alexandria, relaxed with GGA-PBE; a wavelength of 1.5418 Å).
Neutral-atom scattering factors, no anomalous dispersion.

Top 8 peaks for 2θ = 10–80°, in order of falling intensity:
two_theta  I_rel
46.0  100
45.3  77
48.0  21
66.5  19
55.4  16
39.6  9
40.3  8
77.4  7

a b c (Å): 6.841 6.841 2.466
angles (deg): 90.00 90.00 120.00
Atoms (fractional coordinates):
Fe1 0.333 0.667 0.000
Fe2 0.667 0.333 0.000
Co1 0.000 0.000 0.500
Co2 0.000 0.354 0.500
Co3 0.000 0.695 0.000
Co4 0.305 0.305 0.000
Co5 0.354 0.000 0.500
Co6 0.646 0.646 0.500
Co7 0.695 0.000 0.000

Entry 11:
Structure and calculated X-ray powder pattern of FeCo4 (a crystal structure in Alexandria, relaxed with GGA-PBE; a wavelength of 1.5418 Å).
Neutral-atom scattering factors, no anomalous dispersion.

Top 4 peaks for 2θ = 10–80°, in order of falling intensity:
two_theta  I_rel
46.4  100
44.1  59
64.1  17
71.3  6

a b c (Å): 10.476 10.358 2.444
angles (deg): 86.03 80.51 13.46
Atoms (fractional coordinates):
Fe1 0.000 0.000 0.000
Co1 0.200 0.200 0.800
Co2 0.400 0.400 0.600
Co3 0.600 0.600 0.400
Co4 0.800 0.800 0.200

Entry 12:
Structure and calculated X-ray powder pattern of FeCo9 (a crystal structure in Alexandria, relaxed with GGA-PBE; a wavelength of 1.5418 Å).
Neutral-atom scattering factors, no anomalous dispersion.

Top 8 peaks for 2θ = 10–80°, in order of falling intensity:
two_theta  I_rel
51.7  100
34.7  57
49.9  49
39.0  32
37.0  29
41.1  29
24.4  25
77.3  23

a b c (Å): 5.169 5.169 4.853
angles (deg): 90.00 90.00 90.00
Atoms (fractional coordinates):
Fe1 0.000 0.000 0.000
Co1 0.000 0.000 0.500
Co2 0.281 0.281 0.250
Co3 0.281 0.281 0.750
Co4 0.281 0.719 0.250
Co5 0.281 0.719 0.750
Co6 0.719 0.281 0.250
Co7 0.719 0.281 0.750
Co8 0.719 0.719 0.250
Co9 0.719 0.719 0.750